This entry pairs a crystal structure of MnP2O7 with its theoretical powder X-ray diffraction pattern. Radiation: Cu Kα, 1.54184 Å. Structure: a crystal structure in the Materials Project, relaxed with PBE+U.
Intensities are scaled so that the largest is 100.

Main lines, in order of falling intensity (2θ = 15–90°):
2θ (°)	I_rel
30.94	100
29.80	70
18.07	58
22.89	45
44.79	35
24.90	24
59.95	14
51.56	13
51.09	13
36.62	13
64.28	8
48.07	8

Structural model:
Cell lengths 5.065, 5.065, 4.451 Å; angles 98.36, 98.36, 100.15 degrees
Element x y z (fractional)
Mn: 0.000 0.000 0.000
P: 0.444 0.150 0.591
P: 0.850 0.556 0.409
O: 0.040 0.700 0.715
O: 0.252 0.225 0.813
O: 0.300 0.960 0.285
O: 0.563 0.437 0.500
O: 0.677 0.031 0.733
O: 0.775 0.748 0.187
O: 0.969 0.323 0.267


This entry pairs a crystal structure of LiNiAsO4 with its theoretical powder X-ray diffraction pattern. Radiation: Cu Kα, 1.54184 Å. Structure: a crystal structure in the Materials Project, relaxed with PBE+U.
Intensities are scaled so that the largest is 100.

Main lines, in order of falling intensity (2θ = 15–90°):
2θ (°)	I_rel
35.65	100
36.36	81
30.68	64
18.40	57
31.09	49
63.88	49
58.31	25
21.65	19
54.27	19
58.80	13
62.32	13
53.68	13

Structural model:
Cell lengths 5.831, 5.831, 5.831 Å; angles 120.88, 118.54, 90.52 degrees
Element x y z (fractional)
Li: 0.500 0.000 0.000
Li: 0.500 0.500 0.500
Ni: 0.000 0.000 0.000
Ni: 0.500 0.000 0.500
As: 0.119 0.369 0.750
As: 0.881 0.631 0.250
O: 0.238 0.747 0.491
O: 0.244 0.253 0.991
O: 0.246 0.251 0.505
O: 0.246 0.741 0.995
O: 0.754 0.259 0.005
O: 0.754 0.749 0.495
O: 0.756 0.747 0.009
O: 0.762 0.253 0.509


This entry pairs a crystal structure of Sr7CaFe6Co2O24 with its theoretical powder X-ray diffraction pattern. Radiation: Cu Kα, 1.54184 Å. Structure: a crystal structure in the Materials Project, relaxed with PBE+U.
Intensities are scaled so that the largest is 100.

Main lines, in order of falling intensity (2θ = 15–90°):
2θ (°)	I_rel
32.47	100
46.70	31
58.03	30
32.59	20
67.98	18
46.43	16
57.85	15
40.08	14
77.57	10
77.16	6
68.11	4
86.44	4

Structural model:
Cell lengths 7.823, 7.780, 7.780 Å; angles 90.12, 90.00, 90.00 degrees
Element x y z (fractional)
Sr: 0.000 0.000 0.000
Sr: 0.000 0.000 0.496
Sr: 0.000 0.496 0.000
Sr: 0.000 0.496 0.496
Sr: 0.500 0.000 0.496
Sr: 0.500 0.496 0.000
Sr: 0.500 0.496 0.496
Ca: 0.500 0.000 0.000
Fe: 0.251 0.248 0.749
Fe: 0.251 0.749 0.248
Fe: 0.251 0.749 0.749
Fe: 0.749 0.248 0.749
Fe: 0.749 0.749 0.248
Fe: 0.749 0.749 0.749
Co: 0.251 0.248 0.248
Co: 0.749 0.248 0.248
O: 0.000 0.248 0.248
O: 0.000 0.248 0.749
O: 0.000 0.749 0.248
O: 0.000 0.749 0.749
O: 0.250 0.247 0.491
O: 0.250 0.491 0.247
O: 0.251 0.497 0.748
O: 0.251 0.748 0.497
O: 0.252 0.005 0.247
O: 0.252 0.247 0.005
O: 0.252 0.751 0.999
O: 0.252 0.999 0.751
O: 0.500 0.245 0.245
O: 0.500 0.246 0.751
O: 0.500 0.750 0.750
O: 0.500 0.751 0.246
O: 0.748 0.005 0.247
O: 0.748 0.247 0.005
O: 0.748 0.751 0.999
O: 0.748 0.999 0.751
O: 0.749 0.497 0.748
O: 0.749 0.748 0.497
O: 0.750 0.247 0.491
O: 0.750 0.491 0.247


This entry pairs a crystal structure of K3VH6C4O13 with its theoretical powder X-ray diffraction pattern. Radiation: Cu Kα, 1.54184 Å. Structure: a crystal structure in the Materials Project, relaxed with PBE+U.
Intensities are scaled so that the largest is 100.

Main lines, in order of falling intensity (2θ = 15–90°):
2θ (°)	I_rel
36.50	100
22.72	90
31.95	70
32.04	67
26.85	60
29.09	57
27.40	55
32.42	49
42.06	49
24.01	46
23.92	46
25.48	46

Structural model:
Cell lengths 7.893, 7.938, 11.713 Å; angles 91.11, 94.40, 110.19 degrees
Element x y z (fractional)
K: 0.069 0.275 0.480
K: 0.088 0.032 0.173
K: 0.342 0.731 0.771
K: 0.658 0.269 0.229
K: 0.912 0.968 0.827
K: 0.931 0.725 0.520
V: 0.344 0.186 0.707
V: 0.656 0.814 0.293
H: 0.022 0.426 0.742
H: 0.094 0.717 0.986
H: 0.109 0.366 0.991
H: 0.122 0.501 0.212
H: 0.374 0.429 0.283
H: 0.405 0.333 0.393
H: 0.595 0.667 0.607
H: 0.626 0.571 0.717
H: 0.878 0.499 0.788
H: 0.891 0.634 0.009
H: 0.906 0.283 0.014
H: 0.978 0.574 0.258
C: 0.327 0.869 0.370
C: 0.371 0.733 0.449
C: 0.413 0.672 0.075
C: 0.416 0.170 0.953
C: 0.584 0.830 0.047
C: 0.587 0.328 0.925
C: 0.629 0.267 0.551
C: 0.673 0.131 0.630
O: 0.011 0.250 0.998
O: 0.025 0.475 0.264
O: 0.181 0.004 0.647
O: 0.183 0.901 0.376
O: 0.248 0.344 0.715
O: 0.271 0.659 0.524
O: 0.290 0.599 0.996
O: 0.308 0.087 0.863
O: 0.338 0.312 0.317
O: 0.389 0.128 0.053
O: 0.413 0.631 0.180
O: 0.450 0.938 0.301
O: 0.480 0.295 0.570
O: 0.520 0.705 0.430
O: 0.550 0.062 0.699
O: 0.587 0.369 0.820
O: 0.611 0.872 0.947
O: 0.662 0.688 0.683
O: 0.692 0.913 0.137
O: 0.710 0.401 0.004
O: 0.729 0.341 0.476
O: 0.752 0.656 0.285
O: 0.817 0.099 0.624
O: 0.819 0.996 0.353
O: 0.975 0.525 0.736
O: 0.989 0.750 0.002


This entry pairs a crystal structure of Na5LiFe2P2C2O14 with its theoretical powder X-ray diffraction pattern. Radiation: Cu Kα, 1.54184 Å. Structure: a crystal structure in the Materials Project, relaxed with PBE+U.
Intensities are scaled so that the largest is 100.

Main lines, in order of falling intensity (2θ = 15–90°):
2θ (°)	I_rel
26.99	100
33.70	77
34.55	68
42.18	40
49.04	39
33.57	38
29.80	37
19.59	33
25.98	29
55.64	29
19.91	28
34.28	26

Structural model:
Cell lengths 8.987, 6.608, 10.386 Å; angles 90.00, 91.06, 90.00 degrees
Element x y z (fractional)
Na: 0.082 0.000 0.371
Na: 0.083 0.002 0.869
Na: 0.260 0.752 0.625
Na: 0.261 0.249 0.126
Na: 0.261 0.751 0.125
Na: 0.739 0.251 0.875
Na: 0.739 0.749 0.874
Na: 0.740 0.252 0.375
Na: 0.917 0.502 0.131
Na: 0.918 0.500 0.629
Li: 0.270 0.246 0.628
Li: 0.730 0.746 0.372
Fe: 0.355 0.498 0.856
Fe: 0.355 0.499 0.359
Fe: 0.645 0.998 0.144
Fe: 0.645 0.999 0.641
P: 0.414 0.999 0.898
P: 0.415 0.999 0.402
P: 0.585 0.499 0.598
P: 0.586 0.499 0.102
C: 0.056 0.504 0.385
C: 0.060 0.499 0.884
C: 0.940 0.999 0.116
C: 0.944 0.004 0.615
O: 0.084 0.000 0.109
O: 0.087 0.018 0.608
O: 0.120 0.500 0.273
O: 0.123 0.499 0.772
O: 0.139 0.493 0.489
O: 0.143 0.499 0.987
O: 0.318 0.186 0.855
O: 0.318 0.812 0.362
O: 0.319 0.811 0.858
O: 0.325 0.187 0.353
O: 0.428 0.011 0.552
O: 0.428 0.486 0.657
O: 0.433 0.001 0.048
O: 0.433 0.500 0.164
O: 0.567 0.000 0.836
O: 0.567 0.501 0.952
O: 0.572 0.511 0.448
O: 0.572 0.986 0.343
O: 0.675 0.687 0.647
O: 0.681 0.311 0.142
O: 0.682 0.312 0.638
O: 0.682 0.686 0.145
O: 0.857 0.999 0.013
O: 0.861 0.993 0.511
O: 0.877 0.999 0.228
O: 0.880 0.000 0.727
O: 0.913 0.518 0.392
O: 0.916 0.500 0.891


This entry pairs a crystal structure of SrLaMn2O5 with its theoretical powder X-ray diffraction pattern. Radiation: Cu Kα, 1.54184 Å. Structure: a crystal structure in the Materials Project, relaxed with PBE+U.
Intensities are scaled so that the largest is 100.

Main lines, in order of falling intensity (2θ = 15–90°):
2θ (°)	I_rel
31.44	100
31.61	37
32.37	37
45.87	33
56.18	20
57.15	18
44.23	16
40.13	15
22.47	14
65.62	14
38.67	10
55.86	10

Structural model:
Cell lengths 5.532, 5.661, 16.382 Å; angles 90.00, 90.00, 90.00 degrees
Element x y z (fractional)
Sr: 0.248 0.011 0.363
Sr: 0.252 0.989 0.863
Sr: 0.748 0.489 0.637
Sr: 0.752 0.511 0.137
La: 0.244 0.020 0.642
La: 0.256 0.980 0.142
La: 0.744 0.480 0.358
La: 0.756 0.520 0.858
Mn: 0.206 0.556 0.500
Mn: 0.250 0.499 0.250
Mn: 0.250 0.501 0.750
Mn: 0.294 0.444 0.000
Mn: 0.706 0.944 0.500
Mn: 0.750 0.001 0.750
Mn: 0.750 0.999 0.250
Mn: 0.794 0.056 0.000
O: 0.010 0.750 0.258
O: 0.014 0.754 0.742
O: 0.177 0.090 0.008
O: 0.230 0.531 0.881
O: 0.248 0.558 0.118
O: 0.252 0.442 0.618
O: 0.270 0.469 0.381
O: 0.323 0.910 0.508
O: 0.486 0.246 0.242
O: 0.490 0.250 0.758
O: 0.510 0.750 0.742
O: 0.514 0.746 0.258
O: 0.677 0.410 0.992
O: 0.730 0.969 0.119
O: 0.748 0.942 0.882
O: 0.752 0.058 0.382
O: 0.770 0.031 0.619
O: 0.823 0.590 0.492
O: 0.986 0.254 0.758
O: 0.990 0.250 0.242